(1)
This entry pairs a crystal structure of TmCu2O4 with its simulated X-ray powder pattern. Radiation: λ = 1.5418 Å (Cu Kα). Structure: a cell relaxed with GGA-PBE.

Most intense lines, 2θ = 5–70°, low angle first:
| d_spacing | 2θ (°) | Rel. int. |
| --- | --- | --- |
| 4.854 | 18.28 | 18 |
| 3.060 | 29.18 | 61 |
| 2.817 | 31.76 | 16 |
| 2.773 | 32.28 | 52 |
| 2.437 | 36.89 | 100 |
| 2.427 | 37.04 | 22 |
| 1.822 | 50.05 | 14 |
| 1.810 | 50.41 | 23 |
| 1.670 | 55.00 | 29 |
| 1.618 | 56.91 | 17 |
| 1.542 | 59.98 | 21 |
| 1.530 | 60.51 | 29 |

Lattice parameters (Å, degrees): 6.2222 6.2222 6.2222 126.15 126.15 79.64
Fractional coordinates of all 14 atoms:
Tm 0.3750 0.1250 0.2500
Tm 0.6250 0.8750 0.7500
Cu 0.0000 0.0000 0.5000
Cu 0.0000 0.5000 0.0000
Cu 0.0000 0.5000 0.5000
Cu 0.5000 0.5000 0.0000
O 0.0266 0.1310 0.3010
O 0.2257 0.5266 0.3956
O 0.3300 0.7257 0.1990
O 0.3690 0.1700 0.8956
O 0.6310 0.8300 0.1044
O 0.6700 0.2743 0.8010
O 0.7743 0.4734 0.6044
O 0.9734 0.8690 0.6990


(2)
This entry pairs a crystal structure of CeZn2Ag with its simulated X-ray powder pattern. Radiation: λ = 1.5418 Å (Cu Kα). Structure: a cell relaxed with GGA-PBE.

Most intense lines, 2θ = 5–70°, low angle first:
| d_spacing | 2θ (°) | Rel. int. |
| --- | --- | --- |
| 3.962 | 22.44 | 1 |
| 3.431 | 25.97 | 10 |
| 2.426 | 37.06 | 100 |
| 2.069 | 43.75 | 1 |
| 1.981 | 45.81 | 3 |
| 1.715 | 53.41 | 17 |
| 1.534 | 60.32 | 4 |
| 1.401 | 66.79 | 34 |

Lattice parameters (Å, degrees): 4.8522 4.8522 4.8522 60.00 60.00 60.00
Fractional coordinates of all 4 atoms:
Ce 0.0000 0.0000 0.0000
Zn 0.2500 0.2500 0.2500
Zn 0.7500 0.7500 0.7500
Ag 0.5000 0.5000 0.5000


(3)
This entry pairs a crystal structure of NaPO4 with its simulated X-ray powder pattern. Radiation: λ = 1.5418 Å (Cu Kα). Structure: a cell relaxed with GGA-PBE.

Most intense lines, 2θ = 5–70°, low angle first:
| d_spacing | 2θ (°) | Rel. int. |
| --- | --- | --- |
| 4.126 | 21.54 | 26 |
| 4.023 | 22.09 | 80 |
| 3.446 | 25.86 | 81 |
| 3.421 | 26.05 | 100 |
| 3.181 | 28.05 | 91 |
| 3.168 | 28.16 | 37 |
| 3.090 | 28.90 | 17 |
| 2.799 | 31.98 | 42 |
| 2.494 | 36.01 | 18 |
| 2.010 | 45.11 | 17 |
| 1.938 | 46.88 | 17 |
| 1.688 | 54.34 | 18 |

Lattice parameters (Å, degrees): 7.0628 13.7833 7.2365 90.00 92.22 90.00
Fractional coordinates of all 48 atoms:
Na 0.1407 0.1048 0.4956
Na 0.1407 0.3952 0.9956
Na 0.3315 0.6001 0.2993
Na 0.3315 0.8999 0.7993
Na 0.6685 0.1001 0.2007
Na 0.6685 0.3999 0.7007
Na 0.8593 0.6048 0.0044
Na 0.8593 0.8952 0.5044
P 0.1787 0.1296 0.9847
P 0.1787 0.3704 0.4847
P 0.3443 0.6266 0.8577
P 0.3443 0.8734 0.3577
P 0.6557 0.1266 0.6423
P 0.6557 0.3734 0.1423
P 0.8213 0.6296 0.5153
P 0.8213 0.8704 0.0153
O 0.0705 0.0996 0.1576
O 0.0705 0.4004 0.6576
O 0.0849 0.2276 0.9311
O 0.0849 0.2724 0.4311
O 0.1658 0.0559 0.8270
O 0.1658 0.4441 0.3270
O 0.1930 0.5736 0.9671
O 0.1930 0.9264 0.4671
O 0.2772 0.7245 0.7778
O 0.2772 0.7755 0.2778
O 0.3890 0.1470 0.0383
O 0.3890 0.3530 0.5383
O 0.3954 0.5540 0.7021
O 0.3954 0.9460 0.2021
O 0.4787 0.1464 0.5171
O 0.4787 0.3536 0.0171
O 0.5213 0.6464 0.9829
O 0.5213 0.8536 0.4829
O 0.6046 0.0540 0.7979
O 0.6046 0.4460 0.2979
O 0.6110 0.6470 0.4617
O 0.6110 0.8530 0.9617
O 0.7228 0.2245 0.7222
O 0.7228 0.2755 0.2222
O 0.8070 0.0736 0.5329
O 0.8070 0.4264 0.0329
O 0.8342 0.5559 0.6730
O 0.8342 0.9441 0.1730
O 0.9151 0.7276 0.5689
O 0.9151 0.7724 0.0689
O 0.9295 0.5996 0.3424
O 0.9295 0.9004 0.8424


(4)
This entry pairs a crystal structure of Ba2In2O5 with its simulated X-ray powder pattern. Radiation: λ = 1.5418 Å (Cu Kα). Structure: a cell relaxed with GGA-PBE.

Most intense lines, 2θ = 5–70°, low angle first:
| d_spacing | 2θ (°) | Rel. int. |
| --- | --- | --- |
| 3.042 | 29.36 | 100 |
| 3.014 | 29.64 | 28 |
| 2.899 | 30.85 | 26 |
| 2.218 | 40.67 | 17 |
| 2.089 | 43.30 | 24 |
| 1.787 | 51.12 | 12 |
| 1.763 | 51.85 | 6 |
| 1.760 | 51.95 | 6 |
| 1.746 | 52.42 | 20 |
| 1.700 | 53.94 | 17 |
| 1.521 | 60.91 | 16 |
| 1.394 | 67.14 | 10 |

Lattice parameters (Å, degrees): 6.1011 6.1011 10.5902 110.44 110.44 59.22
Fractional coordinates of all 18 atoms:
Ba 0.0000 0.5000 0.0000
Ba 0.2336 0.7664 0.7500
Ba 0.5000 0.0000 0.5000
Ba 0.7664 0.2336 0.2500
In 0.0913 0.6305 0.3610
In 0.3695 0.9087 0.1390
In 0.6305 0.0913 0.8610
In 0.9087 0.3695 0.6390
O 0.0000 0.0000 0.0000
O 0.0000 0.0000 0.5000
O 0.0000 0.5000 0.5000
O 0.2413 0.3594 0.7974
O 0.2617 0.7383 0.2500
O 0.3594 0.2413 0.2974
O 0.5000 0.0000 0.0000
O 0.6406 0.7587 0.7026
O 0.7383 0.2617 0.7500
O 0.7587 0.6406 0.2026


(5)
This entry pairs a crystal structure of BaMg14W with its simulated X-ray powder pattern. Radiation: λ = 1.5418 Å (Cu Kα). Structure: a cell relaxed with GGA-PBE.

Most intense lines, 2θ = 5–70°, low angle first:
| d_spacing | 2θ (°) | Rel. int. |
| --- | --- | --- |
| 5.642 | 15.71 | 75 |
| 5.212 | 17.01 | 22 |
| 3.828 | 23.24 | 60 |
| 3.257 | 27.38 | 20 |
| 2.821 | 31.72 | 34 |
| 2.762 | 32.41 | 26 |
| 2.606 | 34.42 | 22 |
| 2.481 | 36.21 | 100 |
| 1.974 | 45.99 | 21 |
| 1.914 | 47.50 | 22 |
| 1.629 | 56.51 | 17 |
| 1.381 | 67.86 | 18 |

Lattice parameters (Å, degrees): 6.5144 6.5144 10.4232 90.00 90.00 120.00
Fractional coordinates of all 16 atoms:
Ba 0.0000 0.0000 0.0000
Mg 0.0159 0.5080 0.0000
Mg 0.1648 0.3295 0.2782
Mg 0.1648 0.3295 0.7218
Mg 0.1648 0.8352 0.2782
Mg 0.1648 0.8352 0.7218
Mg 0.4920 0.5080 0.0000
Mg 0.4920 0.9841 0.0000
Mg 0.5047 0.0095 0.5000
Mg 0.5047 0.4953 0.5000
Mg 0.6667 0.3333 0.2394
Mg 0.6667 0.3333 0.7606
Mg 0.6705 0.8352 0.2782
Mg 0.6705 0.8352 0.7218
Mg 0.9905 0.4953 0.5000
W 0.0000 0.0000 0.5000


(6)
This entry pairs a crystal structure of Rb2Pd3S4 with its simulated X-ray powder pattern. Radiation: λ = 1.5418 Å (Cu Kα). Structure: a cell relaxed with GGA-PBE.

Most intense lines, 2θ = 5–70°, low angle first:
| d_spacing | 2θ (°) | Rel. int. |
| --- | --- | --- |
| 6.879 | 12.87 | 100 |
| 4.228 | 21.01 | 31 |
| 3.517 | 25.33 | 64 |
| 2.740 | 32.69 | 49 |
| 2.680 | 33.44 | 24 |
| 2.578 | 34.80 | 53 |
| 2.545 | 35.26 | 25 |
| 2.338 | 38.51 | 20 |
| 2.143 | 42.17 | 20 |
| 1.758 | 52.01 | 38 |
| 1.742 | 52.53 | 18 |
| 1.559 | 59.29 | 18 |

Lattice parameters (Å, degrees): 6.2362 6.2362 7.5813 102.41 102.41 118.52
Fractional coordinates of all 9 atoms:
Rb 0.0000 0.0000 0.0000
Rb 0.3104 0.3190 0.6364
Pd 0.1525 0.6628 0.3164
Pd 0.6604 0.6575 0.3163
Pd 0.6681 0.1639 0.3238
S 0.3884 0.7287 0.1046
S 0.6117 0.9525 0.5422
S 0.7261 0.3948 0.0991
S 0.9460 0.6041 0.5446


(7)
This entry pairs a crystal structure of B8P with its simulated X-ray powder pattern. Radiation: λ = 1.5418 Å (Cu Kα). Structure: a cell relaxed with GGA-PBE.

Most intense lines, 2θ = 5–70°, low angle first:
| d_spacing | 2θ (°) | Rel. int. |
| --- | --- | --- |
| 9.392 | 9.42 | 38 |
| 4.756 | 18.66 | 18 |
| 3.994 | 22.26 | 22 |
| 3.890 | 22.86 | 100 |
| 2.949 | 30.30 | 24 |
| 2.585 | 34.71 | 82 |
| 2.504 | 35.86 | 79 |
| 2.495 | 36.00 | 39 |
| 2.170 | 41.62 | 20 |
| 1.906 | 47.70 | 18 |
| 1.654 | 55.56 | 27 |
| 1.507 | 61.55 | 17 |

Lattice parameters (Å, degrees): 5.2527 5.2527 10.2049 108.85 108.85 68.59
Fractional coordinates of all 27 atoms:
B 0.0000 0.0000 0.0000
B 0.1250 0.4398 0.6309
B 0.1287 0.1287 0.3066
B 0.1488 0.6774 0.0495
B 0.1790 0.6496 0.5424
B 0.2277 0.7575 0.2340
B 0.2659 0.7343 0.7281
B 0.2817 0.2817 0.4752
B 0.2911 0.9677 0.1506
B 0.4154 0.4154 0.7788
B 0.4398 0.1250 0.6309
B 0.4749 0.7886 0.6374
B 0.4932 0.4932 0.4893
B 0.6218 0.9377 0.1356
B 0.6326 0.6326 0.7991
B 0.6496 0.1790 0.5424
B 0.6774 0.1488 0.0495
B 0.7343 0.2659 0.7281
B 0.7575 0.2277 0.2340
B 0.7809 0.7809 0.9750
B 0.7886 0.4749 0.6374
B 0.9118 0.9118 0.2852
B 0.9377 0.6218 0.1356
B 0.9677 0.2911 0.1506
P 0.0662 0.0662 0.8416
P 0.3480 0.3480 0.9353
P 0.8432 0.8432 0.4361


Repeat the seventh record exactly.
This entry pairs a crystal structure of B8P with its simulated X-ray powder pattern. Radiation: λ = 1.5418 Å (Cu Kα). Structure: a cell relaxed with GGA-PBE.

Most intense lines, 2θ = 5–70°, low angle first:
| d_spacing | 2θ (°) | Rel. int. |
| --- | --- | --- |
| 9.392 | 9.42 | 38 |
| 4.756 | 18.66 | 18 |
| 3.994 | 22.26 | 22 |
| 3.890 | 22.86 | 100 |
| 2.949 | 30.30 | 24 |
| 2.585 | 34.71 | 82 |
| 2.504 | 35.86 | 79 |
| 2.495 | 36.00 | 39 |
| 2.170 | 41.62 | 20 |
| 1.906 | 47.70 | 18 |
| 1.654 | 55.56 | 27 |
| 1.507 | 61.55 | 17 |

Lattice parameters (Å, degrees): 5.2527 5.2527 10.2049 108.85 108.85 68.59
Fractional coordinates of all 27 atoms:
B 0.0000 0.0000 0.0000
B 0.1250 0.4398 0.6309
B 0.1287 0.1287 0.3066
B 0.1488 0.6774 0.0495
B 0.1790 0.6496 0.5424
B 0.2277 0.7575 0.2340
B 0.2659 0.7343 0.7281
B 0.2817 0.2817 0.4752
B 0.2911 0.9677 0.1506
B 0.4154 0.4154 0.7788
B 0.4398 0.1250 0.6309
B 0.4749 0.7886 0.6374
B 0.4932 0.4932 0.4893
B 0.6218 0.9377 0.1356
B 0.6326 0.6326 0.7991
B 0.6496 0.1790 0.5424
B 0.6774 0.1488 0.0495
B 0.7343 0.2659 0.7281
B 0.7575 0.2277 0.2340
B 0.7809 0.7809 0.9750
B 0.7886 0.4749 0.6374
B 0.9118 0.9118 0.2852
B 0.9377 0.6218 0.1356
B 0.9677 0.2911 0.1506
P 0.0662 0.0662 0.8416
P 0.3480 0.3480 0.9353
P 0.8432 0.8432 0.4361